1.
For ErNbCSe, a GGA-PBE-relaxed structure gives the calculated XRD peak list in this record (Cu Kα, 1.54184 Å).
Peak positions follow from Bragg's law for the DFT cell and can differ from measured ones.

Peak list (10 most intense, 10 to 80 degrees two-theta, by angle)
2θ = 29.2°, d 3.061, rel. 29
2θ = 30.0°, d 2.974, rel. 8
2θ = 32.5°, d 2.752, rel. 13
2θ = 36.3°, d 2.473, rel. 100
2θ = 43.1°, d 2.097, rel. 8
2θ = 51.7°, d 1.767, rel. 29
2θ = 52.9°, d 1.730, rel. 10
2θ = 59.6°, d 1.550, rel. 7
2θ = 64.9°, d 1.438, rel. 18
2θ = 69.6°, d 1.351, rel. 12

Crystal structure
```
data_ErNbCSe
_chemical_formula_sum 'Er2 Nb2 C2 Se2'
_cell_length_a 3.5341
_cell_length_b 3.5341
_cell_length_c 12.5847
_cell_angle_alpha 90.00
_cell_angle_beta 90.00
_cell_angle_gamma 120.00
_space_group_name_H-M_alt 'P -3 m 1'
_space_group_IT_number 164
_space_group_name_Hall '-P 3 2"'
loop_
_atom_site_label
_atom_site_type_symbol
_atom_site_fract_x
_atom_site_fract_y
_atom_site_fract_z
_atom_site_occupancy
Er1 Er 0.3333 0.6667 0.1053 1
Nb1 Nb 0.3333 0.6667 0.4189 1
C1 C 0.0000 0.0000 0.0000 1
C2 C 0.0000 0.0000 0.5000 1
Se1 Se 0.3333 0.6667 0.7283 1
```

---

2.
For ErNb3Te2C2, a GGA-PBE-relaxed structure gives the calculated XRD peak list in this record (Cu Kα, 1.54184 Å).
Peak positions follow from Bragg's law for the DFT cell and can differ from measured ones.

Peak list (10 most intense, 10 to 80 degrees two-theta, by angle)
2θ = 29.5°, d 3.028, rel. 26
2θ = 32.5°, d 2.751, rel. 4
2θ = 36.0°, d 2.493, rel. 100
2θ = 41.1°, d 2.194, rel. 13
2θ = 51.4°, d 1.777, rel. 13
2θ = 52.3°, d 1.748, rel. 24
2θ = 65.2°, d 1.431, rel. 17
2θ = 68.6°, d 1.367, rel. 17
2θ = 71.6°, d 1.317, rel. 11
2θ = 76.4°, d 1.246, rel. 4

Crystal structure
```
data_ErNb3Te2C2
_chemical_formula_sum 'Er1 Nb3 Te2 C2'
_cell_length_a 3.4967
_cell_length_b 3.4967
_cell_length_c 13.1670
_cell_angle_alpha 90.00
_cell_angle_beta 90.00
_cell_angle_gamma 120.00
_space_group_name_H-M_alt 'P 3 m 1'
_space_group_IT_number 156
loop_
_space_group_symop_operation_xyz
'x,y,z'
'-y,x-y,z'
'-x+y,-x,z'
'-y,-x,z'
'-x+y,y,z'
'x,x-y,z'
loop_
_atom_site_label
_atom_site_type_symbol
_atom_site_fract_x
_atom_site_fract_y
_atom_site_fract_z
_atom_site_occupancy
Er1 Er 0.0000 0.0000 0.0000 1
Nb1 Nb 0.0000 0.0000 0.3386 1
Nb2 Nb 0.3333 0.6667 0.4950 1
Nb3 Nb 0.3333 0.6667 0.8190 1
Te1 Te 0.0000 0.0000 0.6590 1
Te2 Te 0.3333 0.6667 0.1813 1
C1 C 0.6667 0.3333 0.4187 1
C2 C 0.6667 0.3333 0.8967 1
```

---

3.
For ErNbTeC, a GGA-PBE-relaxed structure gives the calculated XRD peak list in this record (Cu Kα, 1.54184 Å).
Peak positions follow from Bragg's law for the DFT cell and can differ from measured ones.

Peak list (10 most intense, 10 to 80 degrees two-theta, by angle)
2θ = 29.2°, d 3.061, rel. 27
2θ = 35.4°, d 2.535, rel. 100
2θ = 39.8°, d 2.263, rel. 14
2θ = 50.1°, d 1.820, rel. 14
2θ = 51.7°, d 1.767, rel. 24
2θ = 60.5°, d 1.530, rel. 4
2θ = 64.3°, d 1.450, rel. 17
2θ = 67.2°, d 1.393, rel. 18
2θ = 69.5°, d 1.353, rel. 12
2θ = 74.9°, d 1.268, rel. 4

Crystal structure
```
data_ErNbTeC
_chemical_formula_sum 'Er2 Nb2 Te2 C2'
_cell_length_a 3.5340
_cell_length_b 3.5340
_cell_length_c 13.5785
_cell_angle_alpha 90.00
_cell_angle_beta 90.00
_cell_angle_gamma 120.00
_space_group_name_H-M_alt 'P -6 m 2'
_space_group_IT_number 187
_space_group_name_Hall 'P -6 2'
loop_
_atom_site_label
_atom_site_type_symbol
_atom_site_fract_x
_atom_site_fract_y
_atom_site_fract_z
_atom_site_occupancy
Er1 Er 0.0000 0.0000 0.1707 1
Nb1 Nb 0.3333 0.6667 0.3469 1
Te1 Te 0.0000 0.0000 0.5000 1
Te2 Te 0.3333 0.6667 0.0000 1
C1 C 0.6667 0.3333 0.2701 1
```

---

4.
For Er4Ni13C4, a GGA-PBE-relaxed structure gives the calculated XRD peak list in this record (Cu Kα, 1.54184 Å).
Peak positions follow from Bragg's law for the DFT cell and can differ from measured ones.

Peak list (10 most intense, 10 to 80 degrees two-theta, by angle)
2θ = 33.2°, d 2.697, rel. 78
2θ = 33.6°, d 2.669, rel. 42
2θ = 34.1°, d 2.628, rel. 30
2θ = 38.0°, d 2.365, rel. 46
2θ = 41.2°, d 2.192, rel. 22
2θ = 41.6°, d 2.170, rel. 100
2θ = 44.3°, d 2.043, rel. 39
2θ = 44.9°, d 2.019, rel. 23
2θ = 47.3°, d 1.923, rel. 45
2θ = 66.8°, d 1.400, rel. 23

Crystal structure
```
data_Er4Ni13C4
_chemical_formula_sum 'Er8 Ni26 C8'
_cell_length_a 11.695
_cell_length_b 11.998
_cell_length_c 3.845
_cell_angle_alpha 90.00
_cell_angle_beta 90.00
_cell_angle_gamma 90.00
_space_group_name_H-M_alt 'C m m m'
_space_group_IT_number 65
_space_group_name_Hall '-C 2 2'
loop_
_atom_site_label
_atom_site_type_symbol
_atom_site_fract_x
_atom_site_fract_y
_atom_site_fract_z
_atom_site_occupancy
Er1 Er 0.000 0.186 0.000 1
Er2 Er 0.151 0.500 0.000 1
Ni1 Ni 0.000 0.000 0.500 1
Ni2 Ni 0.107 0.323 0.500 1
Ni3 Ni 0.124 0.000 0.000 1
Ni4 Ni 0.183 0.108 0.500 1
Ni5 Ni 0.250 0.250 0.000 1
C1 C 0.000 0.443 0.500 1
C2 C 0.250 0.250 0.500 1
```

---

5.
For TbErPbC, a GGA-PBE-relaxed structure gives the calculated XRD peak list in this record (Cu Kα, 1.54184 Å).
Peak positions follow from Bragg's law for the DFT cell and can differ from measured ones.

Peak list (10 most intense, 10 to 80 degrees two-theta, by angle)
2θ = 28.4°, d 3.142, rel. 22
2θ = 33.0°, d 2.712, rel. 100
2θ = 33.4°, d 2.684, rel. 21
2θ = 44.4°, d 2.041, rel. 16
2θ = 50.3°, d 1.814, rel. 21
2θ = 58.8°, d 1.571, rel. 3
2θ = 59.5°, d 1.555, rel. 19
2θ = 61.5°, d 1.508, rel. 17
2θ = 61.7°, d 1.503, rel. 22
2θ = 69.3°, d 1.356, rel. 4

Crystal structure
```
data_TbErPbC
_chemical_formula_sum 'Tb2 Er2 Pb2 C2'
_cell_length_a 3.6283
_cell_length_b 3.6283
_cell_length_c 16.1021
_cell_angle_alpha 90.00
_cell_angle_beta 90.00
_cell_angle_gamma 120.00
_space_group_name_H-M_alt 'P -3 m 1'
_space_group_IT_number 164
_space_group_name_Hall '-P 3 2"'
loop_
_atom_site_label
_atom_site_type_symbol
_atom_site_fract_x
_atom_site_fract_y
_atom_site_fract_z
_atom_site_occupancy
Tb1 Tb 0.3333 0.6667 0.0836 1
Er1 Er 0.3333 0.6667 0.4187 1
Pb1 Pb 0.3333 0.6667 0.7474 1
C1 C 0.0000 0.0000 0.0000 1
C2 C 0.0000 0.0000 0.5000 1
```

---

6.
For ErTm3Pb2C2, a GGA-PBE-relaxed structure gives the calculated XRD peak list in this record (Cu Kα, 1.54184 Å).
Peak positions follow from Bragg's law for the DFT cell and can differ from measured ones.

Peak list (10 most intense, 10 to 80 degrees two-theta, by angle)
2θ = 28.8°, d 3.104, rel. 23
2θ = 33.5°, d 2.676, rel. 100
2θ = 33.9°, d 2.642, rel. 21
2θ = 45.1°, d 2.012, rel. 16
2θ = 51.0°, d 1.792, rel. 21
2θ = 59.6°, d 1.552, rel. 3
2θ = 60.4°, d 1.532, rel. 19
2θ = 62.4°, d 1.489, rel. 17
2θ = 62.6°, d 1.483, rel. 22
2θ = 70.4°, d 1.338, rel. 4

Crystal structure
```
data_ErTm3Pb2C2
_chemical_formula_sum 'Er1 Tm3 Pb2 C2'
_cell_length_a 3.5839
_cell_length_b 3.5839
_cell_length_c 15.8495
_cell_angle_alpha 90.00
_cell_angle_beta 90.00
_cell_angle_gamma 120.00
_space_group_name_H-M_alt 'P 3 m 1'
_space_group_IT_number 156
loop_
_space_group_symop_operation_xyz
'x,y,z'
'-y,x-y,z'
'-x+y,-x,z'
'-y,-x,z'
'-x+y,y,z'
'x,x-y,z'
loop_
_atom_site_label
_atom_site_type_symbol
_atom_site_fract_x
_atom_site_fract_y
_atom_site_fract_z
_atom_site_occupancy
Er1 Er 0.0000 0.0000 0.0000 1
Tm1 Tm 0.0000 0.0000 0.3357 1
Tm2 Tm 0.3333 0.6667 0.4995 1
Tm3 Tm 0.3333 0.6667 0.8354 1
Pb1 Pb 0.0000 0.0000 0.6676 1
Pb2 Pb 0.3333 0.6667 0.1681 1
C1 C 0.6667 0.3333 0.4177 1
C2 C 0.6667 0.3333 0.9170 1
```

---

7.
For Y3ErPb2C2, a GGA-PBE-relaxed structure gives the calculated XRD peak list in this record (Cu Kα, 1.54184 Å).
Peak positions follow from Bragg's law for the DFT cell and can differ from measured ones.

Peak list (10 most intense, 10 to 80 degrees two-theta, by angle)
2θ = 11.0°, d 8.026, rel. 10
2θ = 28.3°, d 3.151, rel. 23
2θ = 28.9°, d 3.092, rel. 8
2θ = 33.0°, d 2.715, rel. 100
2θ = 33.5°, d 2.675, rel. 20
2θ = 44.4°, d 2.039, rel. 16
2θ = 50.1°, d 1.819, rel. 21
2θ = 59.6°, d 1.552, rel. 18
2θ = 61.3°, d 1.511, rel. 17
2θ = 61.7°, d 1.504, rel. 21

Crystal structure
```
data_Y3ErPb2C2
_chemical_formula_sum 'Y3 Er1 Pb2 C2'
_cell_length_a 3.6383
_cell_length_b 3.6383
_cell_length_c 16.0524
_cell_angle_alpha 90.00
_cell_angle_beta 90.00
_cell_angle_gamma 120.00
_space_group_name_H-M_alt 'P 3 m 1'
_space_group_IT_number 156
loop_
_space_group_symop_operation_xyz
'x,y,z'
'-y,x-y,z'
'-x+y,-x,z'
'-y,-x,z'
'-x+y,y,z'
'x,x-y,z'
loop_
_atom_site_label
_atom_site_type_symbol
_atom_site_fract_x
_atom_site_fract_y
_atom_site_fract_z
_atom_site_occupancy
Y1 Y 0.0000 0.0000 0.0000 1
Y2 Y 0.0000 0.0000 0.3342 1
Y3 Y 0.6667 0.3333 0.8337 1
Er1 Er 0.6667 0.3333 0.4991 1
Pb1 Pb 0.0000 0.0000 0.6658 1
Pb2 Pb 0.6667 0.3333 0.1673 1
C1 C 0.3333 0.6667 0.4184 1
C2 C 0.3333 0.6667 0.9169 1
```

---

8.
For YErCS, a GGA-PBE-relaxed structure gives the calculated XRD peak list in this record (Cu Kα, 1.54184 Å).
Peak positions follow from Bragg's law for the DFT cell and can differ from measured ones.

Peak list (10 most intense, 10 to 80 degrees two-theta, by angle)
2θ = 27.8°, d 3.210, rel. 17
2θ = 27.9°, d 3.194, rel. 30
2θ = 28.8°, d 3.100, rel. 36
2θ = 35.1°, d 2.560, rel. 100
2θ = 39.8°, d 2.264, rel. 16
2θ = 49.4°, d 1.844, rel. 30
2θ = 57.7°, d 1.599, rel. 18
2θ = 58.0°, d 1.591, rel. 16
2θ = 62.0°, d 1.496, rel. 21
2θ = 67.0°, d 1.397, rel. 12

Crystal structure
```
data_YErCS
_chemical_formula_sum 'Y2 Er2 C2 S2'
_cell_length_a 3.6880
_cell_length_b 3.6880
_cell_length_c 12.8414
_cell_angle_alpha 90.00
_cell_angle_beta 90.00
_cell_angle_gamma 120.00
_space_group_name_H-M_alt 'P -3 m 1'
_space_group_IT_number 164
_space_group_name_Hall '-P 3 2"'
loop_
_atom_site_label
_atom_site_type_symbol
_atom_site_fract_x
_atom_site_fract_y
_atom_site_fract_z
_atom_site_occupancy
Y1 Y 0.3333 0.6667 0.1052 1
Er1 Er 0.3333 0.6667 0.3972 1
C1 C 0.0000 0.0000 0.0000 1
C2 C 0.0000 0.0000 0.5000 1
S1 S 0.3333 0.6667 0.7474 1
```

---

9.
For ErZrCS, a GGA-PBE-relaxed structure gives the calculated XRD peak list in this record (Cu Kα, 1.54184 Å).
Peak positions follow from Bragg's law for the DFT cell and can differ from measured ones.

Peak list (10 most intense, 10 to 80 degrees two-theta, by angle)
2θ = 28.5°, d 3.135, rel. 16
2θ = 29.3°, d 3.051, rel. 34
2θ = 30.1°, d 2.965, rel. 33
2θ = 36.5°, d 2.465, rel. 100
2θ = 41.3°, d 2.187, rel. 15
2θ = 51.9°, d 1.762, rel. 28
2θ = 59.9°, d 1.545, rel. 15
2θ = 60.3°, d 1.536, rel. 13
2θ = 65.1°, d 1.433, rel. 18
2θ = 69.8°, d 1.347, rel. 12

Crystal structure
```
data_ErZrCS
_chemical_formula_sum 'Er2 Zr2 C2 S2'
_cell_length_a 3.5234
_cell_length_b 3.5234
_cell_length_c 12.5420
_cell_angle_alpha 90.00
_cell_angle_beta 90.00
_cell_angle_gamma 120.00
_space_group_name_H-M_alt 'P -6 m 2'
_space_group_IT_number 187
_space_group_name_Hall 'P -6 2'
loop_
_atom_site_label
_atom_site_type_symbol
_atom_site_fract_x
_atom_site_fract_y
_atom_site_fract_z
_atom_site_occupancy
Er1 Er 0.0000 0.0000 0.1497 1
Zr1 Zr 0.3333 0.6667 0.3557 1
C1 C 0.6667 0.3333 0.2626 1
S1 S 0.0000 0.0000 0.5000 1
S2 S 0.3333 0.6667 0.0000 1
```

---

10.
For ErZrCS, a GGA-PBE-relaxed structure gives the calculated XRD peak list in this record (Cu Kα, 1.54184 Å).
Peak positions follow from Bragg's law for the DFT cell and can differ from measured ones.

Peak list (10 most intense, 10 to 80 degrees two-theta, by angle)
2θ = 14.1°, d 6.274, rel. 18
2θ = 28.5°, d 3.137, rel. 18
2θ = 29.3°, d 3.049, rel. 29
2θ = 30.2°, d 2.963, rel. 40
2θ = 36.5°, d 2.464, rel. 100
2θ = 41.3°, d 2.187, rel. 14
2θ = 51.9°, d 1.761, rel. 28
2θ = 59.8°, d 1.545, rel. 16
2θ = 60.3°, d 1.535, rel. 14
2θ = 65.1°, d 1.432, rel. 18

Crystal structure
```
data_ErZrCS
_chemical_formula_sum 'Er2 Zr2 C2 S2'
_cell_length_a 3.5211
_cell_length_b 3.5211
_cell_length_c 12.5483
_cell_angle_alpha 90.00
_cell_angle_beta 90.00
_cell_angle_gamma 120.00
_space_group_name_H-M_alt 'P 63 m c'
_space_group_IT_number 186
_space_group_name_Hall 'P 6c -2c'
loop_
_atom_site_label
_atom_site_type_symbol
_atom_site_fract_x
_atom_site_fract_y
_atom_site_fract_z
_atom_site_occupancy
Er1 Er 0.3333 0.6667 0.0000 1
Zr1 Zr 0.3333 0.6667 0.7055 1
C1 C 0.0000 0.0000 0.1110 1
S1 S 0.3333 0.6667 0.3472 1
```

---

11.
For TbErCSe, a GGA-PBE-relaxed structure gives the calculated XRD peak list in this record (Cu Kα, 1.54184 Å).
Peak positions follow from Bragg's law for the DFT cell and can differ from measured ones.

Peak list (10 most intense, 10 to 80 degrees two-theta, by angle)
2θ = 26.9°, d 3.311, rel. 8
2θ = 27.5°, d 3.249, rel. 29
2θ = 28.3°, d 3.155, rel. 13
2θ = 34.3°, d 2.617, rel. 100
2θ = 40.9°, d 2.207, rel. 10
2θ = 48.5°, d 1.876, rel. 28
2θ = 50.0°, d 1.826, rel. 10
2θ = 56.3°, d 1.635, rel. 9
2θ = 60.8°, d 1.525, rel. 19
2θ = 65.3°, d 1.429, rel. 15

Crystal structure
```
data_TbErCSe
_chemical_formula_sum 'Tb2 Er2 C2 Se2'
_cell_length_a 3.7516
_cell_length_b 3.7516
_cell_length_c 13.2435
_cell_angle_alpha 90.00
_cell_angle_beta 90.00
_cell_angle_gamma 120.00
_space_group_name_H-M_alt 'P 63 m c'
_space_group_IT_number 186
_space_group_name_Hall 'P 6c -2c'
loop_
_atom_site_label
_atom_site_type_symbol
_atom_site_fract_x
_atom_site_fract_y
_atom_site_fract_z
_atom_site_occupancy
Tb1 Tb 0.3333 0.6667 0.0000 1
Er1 Er 0.3333 0.6667 0.2998 1
C1 C 0.0000 0.0000 0.3988 1
Se1 Se 0.3333 0.6667 0.6525 1
```

---

12.
For TbErCSe, a GGA-PBE-relaxed structure gives the calculated XRD peak list in this record (Cu Kα, 1.54184 Å).
Peak positions follow from Bragg's law for the DFT cell and can differ from measured ones.

Peak list (10 most intense, 10 to 80 degrees two-theta, by angle)
2θ = 26.9°, d 3.311, rel. 8
2θ = 27.5°, d 3.248, rel. 29
2θ = 28.3°, d 3.154, rel. 13
2θ = 34.3°, d 2.616, rel. 100
2θ = 40.9°, d 2.207, rel. 10
2θ = 48.6°, d 1.875, rel. 28
2θ = 50.0°, d 1.826, rel. 10
2θ = 56.3°, d 1.635, rel. 9
2θ = 60.8°, d 1.524, rel. 19
2θ = 65.3°, d 1.429, rel. 15

Crystal structure
```
data_TbErCSe
_chemical_formula_sum 'Tb2 Er2 C2 Se2'
_cell_length_a 3.7500
_cell_length_b 3.7500
_cell_length_c 13.2443
_cell_angle_alpha 90.00
_cell_angle_beta 90.00
_cell_angle_gamma 120.00
_space_group_name_H-M_alt 'P -3 m 1'
_space_group_IT_number 164
_space_group_name_Hall '-P 3 2"'
loop_
_atom_site_label
_atom_site_type_symbol
_atom_site_fract_x
_atom_site_fract_y
_atom_site_fract_z
_atom_site_occupancy
Tb1 Tb 0.3333 0.6667 0.3981 1
Er1 Er 0.3333 0.6667 0.0984 1
C1 C 0.0000 0.0000 0.0000 1
C2 C 0.0000 0.0000 0.5000 1
Se1 Se 0.3333 0.6667 0.7537 1
```

---

13.
For Tb3ErC2Se2, a GGA-PBE-relaxed structure gives the calculated XRD peak list in this record (Cu Kα, 1.54184 Å).
Peak positions follow from Bragg's law for the DFT cell and can differ from measured ones.

Peak list (10 most intense, 10 to 80 degrees two-theta, by angle)
2θ = 26.8°, d 3.326, rel. 8
2θ = 27.4°, d 3.261, rel. 29
2θ = 28.2°, d 3.167, rel. 13
2θ = 34.1°, d 2.627, rel. 100
2θ = 40.7°, d 2.217, rel. 10
2θ = 48.3°, d 1.883, rel. 28
2θ = 49.7°, d 1.834, rel. 10
2θ = 56.0°, d 1.642, rel. 9
2θ = 60.5°, d 1.530, rel. 19
2θ = 65.0°, d 1.435, rel. 15

Crystal structure
```
data_Tb3ErC2Se2
_chemical_formula_sum 'Tb3 Er1 C2 Se2'
_cell_length_a 3.7653
_cell_length_b 3.7653
_cell_length_c 13.3037
_cell_angle_alpha 90.00
_cell_angle_beta 90.00
_cell_angle_gamma 120.00
_space_group_name_H-M_alt 'P 3 m 1'
_space_group_IT_number 156
loop_
_space_group_symop_operation_xyz
'x,y,z'
'-y,x-y,z'
'-x+y,-x,z'
'-y,-x,z'
'-x+y,y,z'
'x,x-y,z'
loop_
_atom_site_label
_atom_site_type_symbol
_atom_site_fract_x
_atom_site_fract_y
_atom_site_fract_z
_atom_site_occupancy
Tb1 Tb 0.0000 0.0000 0.0000 1
Tb2 Tb 0.0000 0.0000 0.3004 1
Tb3 Tb 0.3333 0.6667 0.5028 1
Er1 Er 0.3333 0.6667 0.8009 1
C1 C 0.6667 0.3333 0.4017 1
C2 C 0.6667 0.3333 0.8991 1
Se1 Se 0.0000 0.0000 0.6545 1
Se2 Se 0.3333 0.6667 0.1507 1
```

---

14.
For TbEr3C2Se2, a GGA-PBE-relaxed structure gives the calculated XRD peak list in this record (Cu Kα, 1.54184 Å).
Peak positions follow from Bragg's law for the DFT cell and can differ from measured ones.

Peak list (10 most intense, 10 to 80 degrees two-theta, by angle)
2θ = 27.0°, d 3.298, rel. 8
2θ = 27.6°, d 3.235, rel. 29
2θ = 28.4°, d 3.142, rel. 13
2θ = 34.4°, d 2.606, rel. 100
2θ = 41.1°, d 2.198, rel. 10
2θ = 48.8°, d 1.868, rel. 28
2θ = 50.2°, d 1.818, rel. 10
2θ = 56.5°, d 1.628, rel. 9
2θ = 61.0°, d 1.518, rel. 19
2θ = 65.6°, d 1.423, rel. 15

Crystal structure
```
data_TbEr3C2Se2
_chemical_formula_sum 'Tb1 Er3 C2 Se2'
_cell_length_a 3.7354
_cell_length_b 3.7354
_cell_length_c 13.1902
_cell_angle_alpha 90.00
_cell_angle_beta 90.00
_cell_angle_gamma 120.00
_space_group_name_H-M_alt 'P 3 m 1'
_space_group_IT_number 156
loop_
_space_group_symop_operation_xyz
'x,y,z'
'-y,x-y,z'
'-x+y,-x,z'
'-y,-x,z'
'-x+y,y,z'
'x,x-y,z'
loop_
_atom_site_label
_atom_site_type_symbol
_atom_site_fract_x
_atom_site_fract_y
_atom_site_fract_z
_atom_site_occupancy
Tb1 Tb 0.0000 0.0000 0.0000 1
Er1 Er 0.0000 0.0000 0.3014 1
Er2 Er 0.3333 0.6667 0.4996 1
Er3 Er 0.3333 0.6667 0.7985 1
C1 C 0.6667 0.3333 0.4006 1
C2 C 0.6667 0.3333 0.8979 1
Se1 Se 0.0000 0.0000 0.6496 1
Se2 Se 0.3333 0.6667 0.1534 1
```